Starting from DFT lattice parameters and positions (PBE), the powder diffraction line list of AlCr4Re was calculated for Cu Ka.

Largest 10 diffraction maxima, in order of rising 2θ, 2θ = 10–90°:
2θ/deg, intensity
21.22, 22
21.42, 42
24.85, 25
25.02, 50
27.87, 26
43.42, 100
43.64, 59
43.87, 95
44.18, 48
63.84, 29

Structure:
a = 4.8393 Å, b = 4.8393 Å, c = 5.1244 Å
α = 121.47°, β = 121.47°, γ = 50.12°
Element x y z (fractional)
Al: 0.0000 0.0000 0.0000
Cr: 0.3152 0.3152 0.6448
Cr: 0.3407 0.3407 0.1658
Cr: 0.6748 0.6748 0.3508
Cr: 0.9927 0.9927 0.4921
Re: 0.6547 0.6547 0.8332

=====

Starting from DFT lattice parameters and positions (PBE), the powder diffraction line list of CaSm4Dy4 was calculated for Cu Ka.

Largest 10 diffraction maxima, in order of rising 2θ, 2θ = 10–90°:
2θ/deg, intensity
30.78, 18
30.98, 37
31.13, 100
31.29, 47
31.57, 47
34.98, 12
44.71, 13
55.84, 15
61.66, 14
61.73, 12

Structure:
a = 6.6859 Å, b = 9.0875 Å, c = 10.6099 Å
α = 105.80°, β = 100.29°, γ = 96.55°
Element x y z (fractional)
Ca: 0.0022 0.2587 0.2581
Ca: 0.9978 0.7413 0.7419
Sm: 0.1292 0.3579 0.6104
Sm: 0.2209 0.9585 0.3988
Sm: 0.3326 0.0720 0.7449
Sm: 0.4037 0.6509 0.9487
Sm: 0.5963 0.3491 0.0513
Sm: 0.6674 0.9280 0.2551
Sm: 0.7791 0.0415 0.6012
Sm: 0.8708 0.6421 0.3896
Dy: 0.0607 0.3121 0.9311
Dy: 0.2766 0.0276 0.0656
Dy: 0.3357 0.5792 0.2491
Dy: 0.4468 0.6912 0.5897
Dy: 0.5532 0.3088 0.4103
Dy: 0.6643 0.4208 0.7509
Dy: 0.7234 0.9724 0.9344
Dy: 0.9393 0.6879 0.0689

=====

Starting from DFT lattice parameters and positions (PBE), the powder diffraction line list of NbGaNi was calculated for Cu Ka.

Largest 10 diffraction maxima, in order of rising 2θ, 2θ = 10–90°:
2θ/deg, intensity
32.25, 6
34.40, 5
40.69, 100
44.50, 40
52.67, 10
57.43, 4
64.75, 13
71.34, 20
79.35, 26
88.11, 9

Structure:
a = 5.5968 Å, b = 5.5968 Å, c = 5.5968 Å
α = 150.19°, β = 150.19°, γ = 42.67°
Element x y z (fractional)
Nb: 0.0000 0.0000 0.0000
Ga: 0.3120 0.3120 0.0000
Ni: 0.6750 0.6750 0.0000

=====

Starting from DFT lattice parameters and positions (PBE), the powder diffraction line list of AlInSb2 was calculated for Cu Ka.

Largest 10 diffraction maxima, in order of rising 2θ, 2θ = 10–90°:
2θ/deg, intensity
19.56, 8
24.00, 100
31.15, 9
39.70, 73
46.93, 47
57.40, 12
63.11, 19
72.05, 23
77.22, 7
85.55, 7

Structure:
a = 4.5389 Å, b = 4.5389 Å, c = 6.4272 Å
α = 90.00°, β = 90.00°, γ = 90.00°
Element x y z (fractional)
Al: 0.0000 0.0000 0.0000
In: 0.5000 0.5000 0.5000
Sb: 0.0000 0.5000 0.2326
Sb: 0.5000 0.0000 0.7674

=====

Starting from DFT lattice parameters and positions (PBE), the powder diffraction line list of AcInGe2Rh5 was calculated for Cu Ka.

Largest 10 diffraction maxima, in order of rising 2θ, 2θ = 10–90°:
2θ/deg, intensity
25.35, 57
27.20, 83
31.38, 86
34.75, 71
43.20, 88
46.11, 100
50.76, 34
51.80, 29
62.75, 29
81.31, 38

Structure:
a = 4.1881 Å, b = 4.1881 Å, c = 10.5394 Å
α = 90.00°, β = 90.00°, γ = 90.00°
Element x y z (fractional)
Ac: 0.0000 0.0000 0.0000
In: 0.0000 0.0000 0.5000
Ge: 0.5000 0.5000 0.2275
Ge: 0.5000 0.5000 0.7725
Rh: 0.0000 0.5000 0.3404
Rh: 0.0000 0.5000 0.6596
Rh: 0.5000 0.0000 0.3404
Rh: 0.5000 0.0000 0.6596
Rh: 0.5000 0.5000 0.0000

=====

Starting from DFT lattice parameters and positions (PBE), the powder diffraction line list of Zr2TcMoIr was calculated for Cu Ka.

Largest 10 diffraction maxima, in order of rising 2θ, 2θ = 10–90°:
2θ/deg, intensity
25.45, 26
26.79, 39
32.42, 100
36.31, 85
40.10, 32
45.69, 19
52.29, 29
55.20, 50
62.88, 29
67.88, 26

Structure:
a = 4.9486 Å, b = 4.9486 Å, c = 4.4973 Å
α = 90.00°, β = 90.00°, γ = 90.00°
Element x y z (fractional)
Zr: 0.0000 0.5000 0.0000
Zr: 0.5000 0.0000 0.0000
Tc: 0.0000 0.0000 0.5000
Mo: 0.0000 0.0000 0.0000
Ir: 0.5000 0.5000 0.5000

=====

Starting from DFT lattice parameters and positions (PBE), the powder diffraction line list of NbIBr3 was calculated for Cu Ka.

Largest 10 diffraction maxima, in order of rising 2θ, 2θ = 10–90°:
2θ/deg, intensity
12.40, 70
12.65, 99
14.92, 100
24.47, 63
25.46, 64
31.29, 61
32.59, 51
35.24, 69
36.92, 51
41.90, 51

Structure:
a = 8.7922 Å, b = 3.3271 Å, c = 11.8776 Å
α = 90.00°, β = 91.18°, γ = 90.00°
Element x y z (fractional)
Nb: 0.1966 0.2500 0.2665
Nb: 0.8034 0.7500 0.7335
I: 0.4823 0.7500 0.7929
I: 0.5177 0.2500 0.2071
Br: 0.0371 0.2500 0.6905
Br: 0.1810 0.7500 0.0909
Br: 0.3018 0.7500 0.4258
Br: 0.6982 0.2500 0.5742
Br: 0.8190 0.2500 0.9091
Br: 0.9629 0.7500 0.3095

=====

Starting from DFT lattice parameters and positions (PBE), the powder diffraction line list of Li2AgAu2 was calculated for Cu Ka.

Largest 10 diffraction maxima, in order of rising 2θ, 2θ = 10–90°:
2θ/deg, intensity
14.17, 50
24.44, 64
31.83, 79
33.27, 100
36.33, 26
43.29, 95
44.41, 26
47.77, 40
58.55, 28
66.42, 53

Structure:
a = 6.8067 Å, b = 6.8067 Å, c = 6.8067 Å
α = 147.51°, β = 147.51°, γ = 46.61°
Element x y z (fractional)
Li: 0.2500 0.7500 0.5000
Li: 0.7500 0.2500 0.5000
Ag: 0.0000 0.0000 0.0000
Au: 0.3911 0.3911 0.0000
Au: 0.6089 0.6089 0.0000